Structure and computed powder diffraction line list of RbZn2CrBr8 (a GGA-PBE-relaxed structure; Cu Kα).

Top 12 peaks for 10° ≤ 2θ ≤ 90°, low angle first:
(1 0 4), 4.646 Å, 19.10°, I = 55; (0 0 9), 3.571 Å, 24.94°, I = 47; (1 1 0), 3.288 Å, 27.12°, I = 15; (1 1 3), 3.144 Å, 28.39°, I = 100; (2 -1 6), 2.802 Å, 31.94°, I = 89; (0 2 4), 2.683 Å, 33.40°, I = 23; (1 0 13), 2.268 Å, 39.75°, I = 13; (1 1 12), 2.077 Å, 43.56°, I = 43; (3 0 0), 1.899 Å, 47.92°, I = 52; (1 1 15), 1.795 Å, 50.87°, I = 26; (3 0 9), 1.676 Å, 54.76°, I = 26; (4 -2 3), 1.624 Å, 56.66°, I = 20

Structural model:
a b c (Å): 6.5769 6.5769 32.1343
angles (deg): 90.00 90.00 120.00
Space group R-3 (No. 148, hexagonal axes)
One atom of each set of equivalent atoms:
Rb  0.0000  0.0000  0.0000 [3 per cell]
Zn  0.0000  0.0000  0.2354 [6 per cell]
Cr  0.0000  0.0000  0.5000 [3 per cell]
Br  0.0000  0.0000  0.3093 [6 per cell]
Br  0.0124  0.3658  0.2129 [18 per cell]

---

Structure and computed powder diffraction line list of Rb2ZrCrBr6 (a GGA-PBE-relaxed structure; Cu Kα).

Top 12 peaks for 10° ≤ 2θ ≤ 90°, low angle first:
(2 0 0), 5.503 Å, 16.10°, I = 17; (2 2 0), 3.892 Å, 22.85°, I = 19; (2 2 2), 3.177 Å, 28.08°, I = 80; (4 0 0), 2.752 Å, 32.54°, I = 100; (4 2 0), 2.461 Å, 36.51°, I = 8; (4 4 0), 1.946 Å, 46.68°, I = 71; (6 2 2), 1.659 Å, 55.37°, I = 35; (4 4 4), 1.589 Å, 58.06°, I = 24; (8 0 0), 1.376 Å, 68.15°, I = 11; (6 6 2), 1.263 Å, 75.26°, I = 14; (8 4 0), 1.231 Å, 77.58°, I = 31; (8 4 4), 1.123 Å, 86.67°, I = 24

Structural model:
a b c (Å): 11.0070 11.0070 11.0070
angles (deg): 90.00 90.00 90.00
Space group Fm-3m (No. 225)
One atom of each set of equivalent atoms:
Rb  0.2500  0.2500  0.2500 [8 per cell]
Zr  0.0000  0.0000  0.0000 [4 per cell]
Cr  0.0000  0.0000  0.5000 [4 per cell]
Br  0.0000  0.0000  0.2484 [24 per cell]

---

Structure and computed powder diffraction line list of CrRhBr2 (a GGA-PBE-relaxed structure; Cu Kα).

Top 12 peaks for 10° ≤ 2θ ≤ 90°, low angle first:
(0 0 3), 7.337 Å, 12.06°, I = 100; (1 0 4), 2.882 Å, 31.04°, I = 93; (0 1 5), 2.682 Å, 33.41°, I = 19; (1 0 7), 2.303 Å, 39.12°, I = 72; (1 1 0), 1.953 Å, 46.50°, I = 54; (1 1 3), 1.887 Å, 48.22°, I = 17; (0 1 11), 1.722 Å, 53.18°, I = 36; (0 2 4), 1.617 Å, 56.96°, I = 16; (0 2 7), 1.489 Å, 62.34°, I = 17; (2 0 11), 1.292 Å, 73.29°, I = 12; (2 1 4), 1.245 Å, 76.50°, I = 13; (2 1 7), 1.184 Å, 81.23°, I = 16

Structural model:
a b c (Å): 3.9056 3.9056 22.0103
angles (deg): 90.00 90.00 120.00
Space group R3m (No. 160, hexagonal axes)
One atom of each set of equivalent atoms:
Cr  0.0000  0.0000  0.0000 [3 per cell]
Rh  0.0000  0.0000  0.2860 [3 per cell]
Br  0.0000  0.0000  0.5596 [3 per cell]
Br  0.0000  0.0000  0.7323 [3 per cell]

---

Structure and computed powder diffraction line list of Cr4RuBr (a GGA-PBE-relaxed structure; Cu Kα).

Top 10 peaks for 10° ≤ 2θ ≤ 90°, low angle first:
(1 1 1), 3.966 Å, 22.41°, I = 2; (2 0 0), 3.435 Å, 25.94°, I = 1; (2 2 0), 2.429 Å, 37.01°, I = 49; (3 1 1), 2.071 Å, 43.70°, I = 100; (2 2 2), 1.983 Å, 45.75°, I = 23; (3 3 1), 1.576 Å, 58.57°, I = 1; (4 2 2), 1.402 Å, 66.70°, I = 17; (5 1 1), 1.322 Å, 71.33°, I = 28; (4 4 0), 1.214 Å, 78.81°, I = 22; (5 3 1), 1.161 Å, 83.19°, I = 1

Structural model:
a b c (Å): 6.8701 6.8701 6.8701
angles (deg): 90.00 90.00 90.00
Space group F-43m (No. 216)
One atom of each set of equivalent atoms:
Cr  0.1253  0.1253  0.1253 [16 per cell]
Ru  0.2500  0.2500  0.7500 [4 per cell]
Br  0.0000  0.0000  0.5000 [4 per cell]

---

Structure and computed powder diffraction line list of CrSnSbBr2 (a GGA-PBE-relaxed structure; Cu Kα).

Top 12 peaks for 10° ≤ 2θ ≤ 90°, low angle first:
(1 0 0), 5.499 Å, 16.12°, I = 90; (1 1 1), 3.287 Å, 27.13°, I = 73; (0 0 2), 3.075 Å, 29.04°, I = 68; (2 0 0), 2.750 Å, 32.57°, I = 100; (1 0 2), 2.684 Å, 33.39°, I = 31; (2 1 0), 2.459 Å, 36.54°, I = 25; (2 0 2), 2.050 Å, 44.19°, I = 86; (2 2 0), 1.944 Å, 46.72°, I = 36; (2 1 2), 1.921 Å, 47.33°, I = 25; (2 2 2), 1.643 Å, 55.96°, I = 44; (2 0 4), 1.342 Å, 70.13°, I = 22; (4 2 2), 1.142 Å, 84.94°, I = 26

Structural model:
a b c (Å): 5.4991 5.4991 6.1493
angles (deg): 90.00 90.00 90.00
Space group P4/mmm (No. 123)
One atom of each set of equivalent atoms:
Cr  0.0000  0.0000  0.0000 [1 per cell]
Sn  0.5000  0.5000  0.0000 [1 per cell]
Sb  0.5000  0.5000  0.5000 [1 per cell]
Br  0.0000  0.5000  0.5000 [2 per cell]

---

Structure and computed powder diffraction line list of ScCr2Br (a GGA-PBE-relaxed structure; Cu Kα).

Top 12 peaks for 10° ≤ 2θ ≤ 90°, low angle first:
(0 0 6), 4.097 Å, 21.69°, I = 9; (0 0 9), 2.732 Å, 32.79°, I = 4; (1 0 4), 2.566 Å, 34.97°, I = 100; (0 1 5), 2.449 Å, 36.70°, I = 5; (0 1 8), 2.079 Å, 43.53°, I = 46; (0 0 12), 2.049 Å, 44.21°, I = 12; (1 0 10), 1.854 Å, 49.14°, I = 6; (1 1 0), 1.630 Å, 56.44°, I = 24; (0 2 4), 1.376 Å, 68.15°, I = 12; (1 0 16), 1.350 Å, 69.67°, I = 6; (2 0 8), 1.283 Å, 73.87°, I = 9; (1 1 12), 1.276 Å, 74.36°, I = 14

Structural model:
a b c (Å): 3.2604 3.2604 24.5842
angles (deg): 90.00 90.00 120.00
Space group R3m (No. 160, hexagonal axes)
One atom of each set of equivalent atoms:
Sc  0.0000  0.0000  0.0000 [3 per cell]
Cr  0.0000  0.0000  0.2457 [3 per cell]
Cr  0.0000  0.0000  0.5167 [3 per cell]
Br  0.0000  0.0000  0.7489 [3 per cell]

---

Structure and computed powder diffraction line list of Cr2SeBr (a GGA-PBE-relaxed structure; Cu Kα).

Top 12 peaks for 10° ≤ 2θ ≤ 90°, low angle first:
(0 0 4), 3.627 Å, 24.55°, I = 77; (1 0 2), 3.273 Å, 27.24°, I = 22; (0 1 3), 2.912 Å, 30.70°, I = 18; (1 1 1), 2.546 Å, 35.25°, I = 100; (1 1 3), 2.281 Å, 39.51°, I = 33; (1 0 6), 2.019 Å, 44.90°, I = 22; (1 1 5), 1.931 Å, 47.07°, I = 33; (2 0 0), 1.834 Å, 49.71°, I = 16; (0 2 0), 1.824 Å, 50.01°, I = 16; (0 1 7), 1.802 Å, 50.66°, I = 18; (2 0 4), 1.637 Å, 56.20°, I = 14; (0 2 4), 1.629 Å, 56.48°, I = 16

Structural model:
a b c (Å): 3.6680 3.6475 14.5064
angles (deg): 90.00 90.00 90.00
Space group Amm2 (No. 38)
One atom of each set of equivalent atoms:
Cr  0.0000  0.0000  0.0000 [2 per cell]
Cr  0.5000  0.0000  0.2884 [2 per cell]
Se  0.5000  0.0000  0.4674 [2 per cell]
Br  0.0000  0.0000  0.7276 [2 per cell]

---

Structure and computed powder diffraction line list of CrSn3Br (a GGA-PBE-relaxed structure; Cu Kα).

Top 12 peaks for 10° ≤ 2θ ≤ 90°, low angle first:
(1 0 0), 5.108 Å, 17.36°, I = 16; (1 1 1), 2.949 Å, 30.31°, I = 100; (2 0 0), 2.554 Å, 35.14°, I = 83; (2 1 0), 2.284 Å, 39.45°, I = 8; (2 2 0), 1.806 Å, 50.54°, I = 59; (3 0 0), 1.703 Å, 53.85°, I = 4; (3 1 1), 1.540 Å, 60.08°, I = 46; (2 2 2), 1.474 Å, 63.05°, I = 20; (4 0 0), 1.277 Å, 74.27°, I = 10; (4 1 0), 1.239 Å, 76.97°, I = 2; (3 3 1), 1.172 Å, 82.28°, I = 20; (4 2 0), 1.142 Å, 84.91°, I = 28

Structural model:
a b c (Å): 5.1078 5.1078 5.1078
angles (deg): 90.00 90.00 90.00
Space group Pm-3m (No. 221)
One atom of each set of equivalent atoms:
Cr  0.0000  0.0000  0.0000 [1 per cell]
Sn  0.0000  0.0000  0.5000 [3 per cell]
Br  0.5000  0.5000  0.5000 [1 per cell]

---

Structure and computed powder diffraction line list of CrTeBr2 (a GGA-PBE-relaxed structure; Cu Kα).

Top 12 peaks for 10° ≤ 2θ ≤ 90°, low angle first:
(0 0 2), 5.783 Å, 15.32°, I = 69; (0 0 3), 3.855 Å, 23.07°, I = 66; (0 1 1), 3.237 Å, 27.56°, I = 51; (1 0 1), 3.219 Å, 27.71°, I = 100; (1 0 -2), 3.068 Å, 29.11°, I = 40; (0 1 2), 2.913 Å, 30.69°, I = 62; (1 1 -1), 2.383 Å, 37.74°, I = 44; (0 1 4), 2.195 Å, 41.13°, I = 61; (1 1 2), 2.176 Å, 41.49°, I = 21; (1 1 -3), 2.097 Å, 43.14°, I = 48; (1 0 -5), 1.998 Å, 45.40°, I = 20; (1 1 5), 1.620 Å, 56.82°, I = 29

Structural model:
a b c (Å): 3.4459 3.3717 11.6065
angles (deg): 90.00 94.81 90.00
Space group P2/m (No. 10)
One atom of each set of equivalent atoms:
Cr  0.0000  0.0000  0.0000 [1 per cell]
Te  0.5000  0.0000  0.5000 [1 per cell]
Br  0.1715  0.5000  0.8557 [2 per cell]

---

Structure and computed powder diffraction line list of CrTeBr2 (a GGA-PBE-relaxed structure; Cu Kα).

Top 12 peaks for 10° ≤ 2θ ≤ 90°, low angle first:
(0 0 1), 8.665 Å, 10.21°, I = 97; (1 1 0), 3.425 Å, 26.02°, I = 35; (2 0 1), 3.306 Å, 26.97°, I = 49; (1 1 1), 3.153 Å, 28.30°, I = 100; (2 0 -2), 2.891 Å, 30.93°, I = 80; (1 1 2), 2.649 Å, 33.84°, I = 41; (1 1 -3), 2.241 Å, 40.25°, I = 25; (3 1 -1), 2.037 Å, 44.49°, I = 23; (3 1 1), 1.988 Å, 45.63°, I = 20; (0 2 0), 1.936 Å, 46.94°, I = 22; (1 1 -4), 1.856 Å, 49.10°, I = 28; (2 2 -2), 1.608 Å, 57.28°, I = 28

Structural model:
a b c (Å): 7.3553 3.8717 8.6826
angles (deg): 90.00 93.61 90.00
Space group Cm (No. 8)
One atom of each set of equivalent atoms:
Cr  0.0000  0.0000  0.0000 [2 per cell]
Te  0.3232  0.0000  0.8258 [2 per cell]
Br  0.1681  0.5000  0.1591 [2 per cell]
Br  0.4707  0.0000  0.5607 [2 per cell]

---

Structure and computed powder diffraction line list of YCrTeBr2 (a GGA-PBE-relaxed structure; Cu Kα).

Top 12 peaks for 10° ≤ 2θ ≤ 90°, low angle first:
(1 0 0), 5.442 Å, 16.29°, I = 70; (1 1 1), 3.256 Å, 27.39°, I = 100; (0 0 2), 3.055 Å, 29.23°, I = 63; (2 0 0), 2.721 Å, 32.92°, I = 91; (1 0 2), 2.664 Å, 33.64°, I = 23; (2 1 0), 2.434 Å, 36.94°, I = 18; (2 0 2), 2.032 Å, 44.59°, I = 76; (2 2 0), 1.924 Å, 47.24°, I = 32; (3 1 1), 1.656 Å, 55.47°, I = 26; (2 2 2), 1.628 Å, 56.52°, I = 38; (2 0 4), 1.332 Å, 70.72°, I = 19; (4 2 2), 1.130 Å, 85.99°, I = 23

Structural model:
a b c (Å): 5.4418 5.4418 6.1107
angles (deg): 90.00 90.00 90.00
Space group P4/mmm (No. 123)
One atom of each set of equivalent atoms:
Y  0.0000  0.0000  0.0000 [1 per cell]
Cr  0.5000  0.5000  0.5000 [1 per cell]
Te  0.0000  0.0000  0.5000 [1 per cell]
Br  0.0000  0.5000  0.0000 [2 per cell]

---

Structure and computed powder diffraction line list of TlCrBr2 (a GGA-PBE-relaxed structure; Cu Kα).

Top 12 peaks for 10° ≤ 2θ ≤ 90°, low angle first:
(0 0 1), 6.309 Å, 14.04°, I = 24; (0 1 0), 4.447 Å, 19.97°, I = 18; (1 1 0), 3.146 Å, 28.37°, I = 100; (0 1 2), 2.572 Å, 34.88°, I = 40; (2 0 -1), 2.373 Å, 37.91°, I = 13; (0 2 0), 2.227 Å, 40.51°, I = 19; (1 1 -3), 1.992 Å, 45.54°, I = 9; (1 2 1), 1.818 Å, 50.19°, I = 15; (2 1 -3), 1.745 Å, 52.44°, I = 14; (2 2 -1), 1.624 Å, 56.70°, I = 8; (1 2 2), 1.576 Å, 58.58°, I = 8; (3 1 -2), 1.481 Å, 62.75°, I = 10

Structural model:
a b c (Å): 4.7467 4.4517 6.7398
angles (deg): 90.00 110.60 90.00
Space group Pm (No. 6)
One atom of each set of equivalent atoms:
Tl  0.0000  0.0000  0.0000 [1 per cell]
Cr  0.6277  0.5000  0.2582 [1 per cell]
Br  0.4290  0.5000  0.8582 [1 per cell]
Br  0.7300  0.0000  0.4618 [1 per cell]

---

Structure and computed powder diffraction line list of UTl2CrBr8 (a GGA-PBE-relaxed structure; Cu Kα).

Top 12 peaks for 10° ≤ 2θ ≤ 90°, low angle first:
(1 0 1), 6.092 Å, 14.54°, I = 81; (1 1 1), 5.596 Å, 15.84°, I = 84; (0 1 -1), 5.235 Å, 16.94°, I = 80; (1 -1 0), 4.682 Å, 18.96°, I = 50; (0 1 2), 3.700 Å, 24.05°, I = 72; (1 -2 0), 3.152 Å, 28.31°, I = 47; (2 2 1), 3.000 Å, 29.78°, I = 62; (1 -2 1), 2.973 Å, 30.05°, I = 100; (2 2 2), 2.798 Å, 31.99°, I = 49; (0 0 3), 2.609 Å, 34.38°, I = 67; (3 0 2), 2.253 Å, 40.02°, I = 42; (1 4 1), 2.044 Å, 44.31°, I = 42

Structural model:
a b c (Å): 7.1939 8.1925 8.4069
angles (deg): 78.61 69.81 76.41
Space group P-1 (No. 2)
One atom of each set of equivalent atoms:
U  0.0000  0.0000  0.0000 [1 per cell]
Tl  0.3988  0.3215  0.3608 [2 per cell]
Cr  0.0000  0.5000  0.0000 [1 per cell]
Br  0.1885  0.5358  0.6844 [2 per cell]
Br  0.2155  0.0121  0.6537 [2 per cell]
Br  0.2338  0.6678  0.0579 [2 per cell]
Br  0.2566  0.1863  0.0435 [2 per cell]

---

Structure and computed powder diffraction line list of VCrBr (a GGA-PBE-relaxed structure; Cu Kα).

Top 12 peaks for 10° ≤ 2θ ≤ 90°, low angle first:
(1 1 0), 3.873 Å, 22.96°, I = 21; (3 1 0), 3.366 Å, 26.48°, I = 73; (2 0 -1), 2.970 Å, 30.09°, I = 29; (4 0 1), 2.619 Å, 34.23°, I = 18; (1 1 1), 2.431 Å, 36.98°, I = 28; (3 1 1), 2.289 Å, 39.36°, I = 38; (5 1 -1), 2.067 Å, 43.79°, I = 100; (2 2 0), 1.936 Å, 46.92°, I = 19; (10 0 0), 1.925 Å, 47.23°, I = 22; (8 0 1), 1.906 Å, 47.72°, I = 25; (4 2 0), 1.829 Å, 49.86°, I = 22; (0 0 2), 1.561 Å, 59.18°, I = 14

Structural model:
a b c (Å): 19.2456 3.9538 3.1226
angles (deg): 90.00 90.06 90.00
Space group C2 (No. 5)
One atom of each set of equivalent atoms:
V  0.0609  0.0000  0.2504 [4 per cell]
Cr  0.0428  0.5071  0.7503 [4 per cell]
Br  0.1577  0.1827  0.7510 [4 per cell]

---

Structure and computed powder diffraction line list of Zn3CrBr9 (a GGA-PBE-relaxed structure; Cu Kα).

Top 12 peaks for 10° ≤ 2θ ≤ 90°, low angle first:
(1 1 1), 5.310 Å, 16.70°, I = 100; (3 1 -2), 4.737 Å, 18.73°, I = 34; (5 1 -2), 3.290 Å, 27.11°, I = 60; (2 0 2), 3.245 Å, 27.49°, I = 54; (5 1 -3), 3.210 Å, 27.79°, I = 23; (2 2 -3), 3.124 Å, 28.58°, I = 69; (3 1 -4), 3.035 Å, 29.43°, I = 33; (4 2 0), 2.775 Å, 32.26°, I = 31; (7 1 -5), 2.229 Å, 40.46°, I = 26; (7 1 -1), 2.160 Å, 41.82°, I = 23; (1 3 3), 2.109 Å, 42.89°, I = 34; (1 1 -6), 1.782 Å, 51.25°, I = 24

Structural model:
a b c (Å): 17.6754 9.2346 12.9059
angles (deg): 90.00 128.27 90.00
Space group Cc (No. 9)
One atom of each set of equivalent atoms:
Zn  0.0000  0.0510  0.0000 [4 per cell]
Zn  0.1397  0.4284  0.9490 [4 per cell]
Zn  0.3946  0.1144  0.5924 [4 per cell]
Cr  0.2680  0.2230  0.7745 [4 per cell]
Br  0.0234  0.2304  0.8805 [4 per cell]
Br  0.0649  0.3781  0.2842 [4 per cell]
Br  0.1272  0.0573  0.7131 [4 per cell]
Br  0.1629  0.4373  0.6352 [4 per cell]
Br  0.2572  0.0913  0.5926 [4 per cell]
Br  0.2733  0.3067  0.9706 [4 per cell]
Br  0.3706  0.3548  0.4980 [4 per cell]
Br  0.3920  0.0404  0.9357 [4 per cell]
Br  0.4108  0.3638  0.8255 [4 per cell]